# 1
The following is a theoretical powder X-ray diffraction pattern of Nd3Al2Zn7. It was derived from a crystal structure in Alexandria, relaxed with GGA-PBE, using Cu Kα (λ = 1.5418 Å).

a b c (Å): 14.279 14.279 14.279
angles (deg): 162.70 162.70 24.55
Fractional coordinates of all 12 atoms:
Nd1 0.000 0.000 0.000
Nd2 0.168 0.168 0.000
Nd3 0.832 0.832 0.000
Al1 0.369 0.369 0.000
Al2 0.631 0.631 0.000
Zn1 0.079 0.579 0.500
Zn2 0.277 0.277 0.000
Zn3 0.421 0.921 0.500
Zn4 0.500 0.500 0.000
Zn5 0.579 0.079 0.500
Zn6 0.723 0.723 0.000
Zn7 0.921 0.421 0.500

Main lines, in order of falling intensity (10° ≤ 2θ ≤ 90°):
2θ (°)  intensity
35.3  100
42.1  57
29.4  27
35.7  27
72.5  23
30.6  23
41.3  23
67.9  20
58.5  19
61.0  18


# 2
The following is a theoretical powder X-ray diffraction pattern of NdAl12Zn4. It was derived from a crystal structure in Alexandria, relaxed with GGA-PBE, using Cu Kα (λ = 1.5418 Å).

a b c (Å): 7.615 7.615 7.615
angles (deg): 109.47 109.47 109.47
Fractional coordinates of all 17 atoms:
Nd1 0.000 0.000 0.000
Al1 0.156 0.350 0.506
Al2 0.156 0.650 0.806
Al3 0.194 0.844 0.350
Al4 0.350 0.194 0.844
Al5 0.350 0.506 0.156
Al6 0.494 0.844 0.650
Al7 0.506 0.156 0.350
Al8 0.650 0.494 0.844
Al9 0.650 0.806 0.156
Al10 0.806 0.156 0.650
Al11 0.844 0.350 0.194
Al12 0.844 0.650 0.494
Zn1 0.000 0.000 0.500
Zn2 0.000 0.500 0.000
Zn3 0.500 0.000 0.000
Zn4 0.500 0.500 0.500

Main lines, in order of falling intensity (10° ≤ 2θ ≤ 90°):
2θ (°)  intensity
28.7  100
32.2  76
50.9  73
38.3  60
14.2  40
53.1  37
24.8  27
67.4  25
46.2  21
41.1  20


# 3
The following is a theoretical powder X-ray diffraction pattern of NdAlZn5. It was derived from a crystal structure in Alexandria, relaxed with GGA-PBE, using Cu Kα (λ = 1.5418 Å).

a b c (Å): 8.799 5.174 10.744
angles (deg): 90.00 90.00 90.00
Fractional coordinates of all 28 atoms:
Nd1 0.237 0.250 0.060
Nd2 0.263 0.750 0.560
Nd3 0.737 0.250 0.440
Nd4 0.763 0.750 0.940
Al1 0.140 0.750 0.854
Al2 0.360 0.250 0.354
Al3 0.640 0.750 0.646
Al4 0.860 0.250 0.146
Zn1 0.048 0.750 0.094
Zn2 0.066 0.010 0.308
Zn3 0.066 0.490 0.308
Zn4 0.080 0.250 0.521
Zn5 0.197 0.250 0.749
Zn6 0.303 0.750 0.249
Zn7 0.420 0.750 0.021
Zn8 0.434 0.510 0.808
Zn9 0.434 0.990 0.808
Zn10 0.452 0.250 0.594
Zn11 0.548 0.750 0.406
Zn12 0.566 0.010 0.192
Zn13 0.566 0.490 0.192
Zn14 0.580 0.250 0.979
Zn15 0.697 0.250 0.751
Zn16 0.803 0.750 0.251
Zn17 0.920 0.750 0.479
Zn18 0.934 0.510 0.692
Zn19 0.934 0.990 0.692
Zn20 0.952 0.250 0.906

Main lines, in order of falling intensity (10° ≤ 2θ ≤ 90°):
2θ (°)  intensity
36.2  100
36.7  99
34.9  62
63.1  50
38.6  33
44.4  32
43.3  28
34.7  25
21.6  25
40.0  24


# 4
The following is a theoretical powder X-ray diffraction pattern of Al4Ni. It was derived from a crystal structure in Alexandria, relaxed with GGA-PBE, using Cu Kα (λ = 1.5418 Å).

a b c (Å): 8.509 8.509 8.652
angles (deg): 119.15 119.15 87.22
Fractional coordinates of all 30 atoms:
Al1 0.000 0.500 0.500
Al2 0.024 0.451 0.844
Al3 0.058 0.858 0.039
Al4 0.126 0.874 0.750
Al5 0.142 0.942 0.461
Al6 0.225 0.299 0.387
Al7 0.299 0.225 0.887
Al8 0.310 0.641 0.894
Al9 0.317 0.456 0.238
Al10 0.359 0.690 0.606
Al11 0.451 0.024 0.344
Al12 0.456 0.317 0.738
Al13 0.500 0.000 0.000
Al14 0.544 0.683 0.262
Al15 0.549 0.976 0.656
Al16 0.641 0.310 0.394
Al17 0.683 0.544 0.762
Al18 0.690 0.359 0.106
Al19 0.701 0.775 0.113
Al20 0.775 0.701 0.613
Al21 0.858 0.058 0.539
Al22 0.874 0.126 0.250
Al23 0.942 0.142 0.961
Al24 0.976 0.549 0.156
Ni1 0.129 0.281 0.608
Ni2 0.261 0.739 0.250
Ni3 0.281 0.129 0.108
Ni4 0.719 0.871 0.892
Ni5 0.739 0.261 0.750
Ni6 0.871 0.719 0.392

Main lines, in order of falling intensity (10° ≤ 2θ ≤ 90°):
2θ (°)  intensity
44.4  100
47.0  34
45.2  31
43.2  27
23.7  27
20.9  25
25.0  25
39.5  24
24.7  23
23.0  20